Record 1
This entry pairs a crystal structure of YHg2Pd3 with its theoretical X-ray diffraction stick pattern. Radiation: Cu Ka. Structure: DFT lattice parameters and positions (PBE).

Main lines, low angle first (10 to 90 degrees two-theta):
2θ (°)	I/Imax
36.4	294
36.5	286
38.5	1000
52.5	202
66.9	195
67.0	187
70.8	160
82.4	107

Structure:
```
YHg2Pd3
1.0
2.468 -7.379 0.000
2.468 7.379 0.000
0.000 0.000 6.321
Y Hg Pd
2 4 6
Cartesian
2.468 5.048 0.000 Y
2.468 -5.048 0.000 Y
2.468 4.864 3.161 Hg
2.468 0.000 0.000 Hg
2.468 0.000 3.161 Hg
2.468 -4.864 3.161 Hg
0.000 0.000 1.717 Pd
0.000 0.000 4.604 Pd
2.468 2.482 1.570 Pd
2.468 2.482 4.752 Pd
2.468 -2.482 1.570 Pd
2.468 -2.482 4.752 Pd
```


Record 2
This entry pairs a crystal structure of RuRhC with its theoretical X-ray diffraction stick pattern. Radiation: Cu Ka. Structure: DFT lattice parameters and positions (PBE).

Main lines, low angle first (10 to 90 degrees two-theta):
2θ (°)	I/Imax
34.5	310
36.1	349
37.6	407
38.6	342
41.8	1000
42.1	528
45.3	823
61.1	263

Structure:
```
RuRhC
1.0
9.715 0.000 0.000
0.000 2.760 0.000
-3.925 0.000 5.240
Ru Rh C
4 4 4
Cartesian
0.000 0.000 0.000 Ru
-1.280 0.000 4.399 Ru
4.857 1.380 0.000 Ru
3.578 1.380 4.399 Ru
-1.292 1.380 1.991 Rh
0.977 0.000 2.883 Rh
3.566 0.000 1.991 Rh
5.835 1.380 2.883 Rh
1.615 1.380 0.334 C
2.014 1.380 1.695 C
6.472 0.000 0.334 C
6.872 0.000 1.695 C
```